# Re4Cl8O9
Theoretical powder diffractogram, Cu Kα X-rays. Input: a GGA-PBE-relaxed structure.
No peak broadening, texture or thermal motion is included.

The 10 most intense peaks (2θ from 5° to 70°), most intense first:
index, 2θ/deg, Rel. int.
1 0 -2, 19.67, 100
1 0 0, 13.84, 93
0 1 1, 14.17, 57
0 1 -2, 21.54, 50
1 -1 1, 22.66, 42
1 1 1, 18.78, 41
1 1 0, 18.54, 40
0 1 2, 17.55, 37
-1 1 3, 27.47, 33
1 -1 2, 26.47, 31

Cell and atoms:
```
data_Re4Cl8O9
_chemical_formula_sum 'Re4 Cl8 O9'
_symmetry_space_group_name_H-M 'P -1'
_symmetry_Int_Tables_number 2
_symmetry_space_group_name_Hall '-P 1'
_cell_length_a 6.4330
_cell_length_b 6.5809
_cell_length_c 13.0148
_cell_angle_alpha 78.35
_cell_angle_beta 88.50
_cell_angle_gamma 83.76
loop_
_atom_site_label
_atom_site_fract_x
_atom_site_fract_y
_atom_site_fract_z
Re1 0.1362 0.1769 0.3474
Re2 0.1493 0.3952 0.8937
Cl1 0.1398 0.7595 0.1402
Cl2 0.2540 0.3631 0.7254
Cl3 0.2687 0.3883 0.4355
Cl4 0.3405 0.6785 0.8666
O1 0.0000 0.5000 0.0000
O2 0.1046 0.8846 0.6024
O3 0.1084 0.2971 0.2159
O4 0.3014 0.9506 0.3565
O5 0.3087 0.1984 0.9639
```